1.
Starting from the GGA-PBE geometry in Alexandria, the powder diffractogram of Ru3W3C2 was simulated for Cu Kα (weighted mean of Kα1 and Kα2).
Kinematic intensities with the Lorentz-polarization factor, no thermal factor.

Principal peaks in the range 2θ from 10° to 90°, low angle first:
| d (Å) | 2theta | I/Imax | h k l |
| --- | --- | --- | --- |
| 2.430 | 37.00 | 34 | 0 0 6 |
| 2.346 | 38.38 | 100 | 1 0 2 |
| 2.207 | 40.89 | 8 | 1 0 3 |
| 2.049 | 44.21 | 71 | 0 1 4 |
| 1.468 | 63.36 | 21 | 1 0 8 |
| 1.430 | 65.23 | 23 | 1 1 0 |
| 1.256 | 75.70 | 11 | 0 1 10 |
| 1.233 | 77.43 | 24 | 1 1 6 |
| 1.221 | 78.29 | 13 | 0 2 2 |
| 1.173 | 82.20 | 12 | 2 0 4 |

Structure:
```
data_Ru3W3C2
_cell_length_a 2.8605
_cell_length_b 2.8605
_cell_length_c 14.5789
_cell_angle_alpha 90.00
_cell_angle_beta 90.00
_cell_angle_gamma 120.00
_space_group_name_H-M_alt 'P -3 m 1'
_space_group_IT_number 164
_space_group_name_Hall '-P 3 2"'
loop_
_atom_site_label
_atom_site_type_symbol
_atom_site_fract_x
_atom_site_fract_y
_atom_site_fract_z
_atom_site_occupancy
Ru1 Ru 0.0000 0.0000 0.0000 1
Ru2 Ru 0.3333 0.6667 0.8164 1
W1 W 0.0000 0.0000 0.5000 1
W2 W 0.3333 0.6667 0.3356 1
C1 C 0.3333 0.6667 0.0988 1
```

2.
Starting from the GGA-PBE geometry in Alexandria, the powder diffractogram of YRuC was simulated for Cu Kα (weighted mean of Kα1 and Kα2).
Kinematic intensities with the Lorentz-polarization factor, no thermal factor.

Principal peaks in the range 2θ from 10° to 90°, low angle first:
| d (Å) | 2theta | I/Imax | h k l |
| --- | --- | --- | --- |
| 4.424 | 20.07 | 23 | 1 1 0 |
| 2.940 | 30.40 | 27 | 1 3 0 |
| 2.927 | 30.54 | 100 | 1 1 1 |
| 2.782 | 32.17 | 27 | 0 4 0 |
| 2.410 | 37.31 | 44 | 2 0 0 |
| 2.349 | 38.33 | 58 | 1 3 1 |
| 2.266 | 39.78 | 36 | 0 4 1 |
| 1.952 | 46.52 | 23 | 0 0 2 |
| 1.651 | 55.68 | 27 | 2 4 1 |
| 1.517 | 61.09 | 20 | 2 0 2 |

Structure:
```
data_YRuC
_cell_length_a 4.821
_cell_length_b 11.129
_cell_length_c 3.904
_cell_angle_alpha 90.00
_cell_angle_beta 90.00
_cell_angle_gamma 90.00
_space_group_name_H-M_alt 'C m c m'
_space_group_IT_number 63
_space_group_name_Hall '-C 2c 2'
loop_
_atom_site_label
_atom_site_type_symbol
_atom_site_fract_x
_atom_site_fract_y
_atom_site_fract_z
_atom_site_occupancy
Y1 Y 0.000 0.150 0.250 1
Ru1 Ru 0.000 0.419 0.250 1
C1 C 0.000 0.390 0.750 1
```

3.
Starting from the GGA-PBE geometry in Alexandria, the powder diffractogram of Yb3RuC4 was simulated for Cu Kα (weighted mean of Kα1 and Kα2).
Kinematic intensities with the Lorentz-polarization factor, no thermal factor.

Principal peaks in the range 2θ from 10° to 90°, low angle first:
| d (Å) | 2theta | I/Imax | h k l |
| --- | --- | --- | --- |
| 3.523 | 25.28 | 38 | 0 1 -1 |
| 3.404 | 26.18 | 25 | 1 0 0 |
| 3.328 | 26.79 | 42 | 0 1 2 |
| 2.665 | 33.63 | 100 | 1 -1 1 |
| 2.606 | 34.42 | 33 | 1 1 2 |
| 2.453 | 36.63 | 49 | 0 0 3 |
| 2.387 | 37.69 | 35 | 0 2 1 |
| 2.277 | 39.59 | 27 | 1 1 -1 |
| 2.204 | 40.95 | 53 | -1 1 2 |
| 1.566 | 58.98 | 26 | 1 -1 4 |

Structure:
```
data_Yb3RuC4
_cell_length_a 3.499
_cell_length_b 4.781
_cell_length_c 7.815
_cell_angle_alpha 75.40
_cell_angle_beta 77.10
_cell_angle_gamma 89.99
_space_group_name_H-M_alt 'P -1'
_space_group_IT_number 2
loop_
_space_group_symop_operation_xyz
'x,y,z'
'-x,-y,-z'
loop_
_atom_site_label
_atom_site_type_symbol
_atom_site_fract_x
_atom_site_fract_y
_atom_site_fract_z
_atom_site_occupancy
Yb1 Yb 0.000 0.000 0.000 1
Yb2 Yb 0.166 0.720 0.666 1
Ru1 Ru 0.500 0.500 0.000 1
C1 C 0.342 0.850 0.319 1
C2 C 0.396 0.683 0.209 1
```

4.
Starting from the GGA-PBE geometry in Alexandria, the powder diffractogram of ZnRu4C2 was simulated for Cu Kα (weighted mean of Kα1 and Kα2).
Kinematic intensities with the Lorentz-polarization factor, no thermal factor.

Principal peaks in the range 2θ from 10° to 90°, low angle first:
| d (Å) | 2theta | I/Imax | h k l |
| --- | --- | --- | --- |
| 5.052 | 17.56 | 9 | 0 0 2 |
| 2.698 | 33.21 | 100 | 1 1 2 |
| 2.526 | 35.54 | 43 | 0 0 4 |
| 2.256 | 39.96 | 68 | 2 0 0 |
| 1.683 | 54.54 | 49 | 2 0 4 |
| 1.595 | 57.79 | 22 | 2 2 0 |
| 1.489 | 62.35 | 18 | 1 1 6 |
| 1.373 | 68.30 | 25 | 3 1 2 |
| 1.349 | 69.71 | 23 | 2 2 4 |
| 1.102 | 88.78 | 12 | 2 0 8 |

Structure:
```
data_ZnRu4C2
_cell_length_a 4.513
_cell_length_b 4.513
_cell_length_c 10.103
_cell_angle_alpha 90.00
_cell_angle_beta 90.00
_cell_angle_gamma 90.00
_space_group_name_H-M_alt 'I 4/m m m'
_space_group_IT_number 139
_space_group_name_Hall '-I 4 2'
loop_
_atom_site_label
_atom_site_type_symbol
_atom_site_fract_x
_atom_site_fract_y
_atom_site_fract_z
_atom_site_occupancy
Zn1 Zn 0.000 0.000 0.000 1
Ru1 Ru 0.000 0.000 0.250 1
Ru2 Ru 0.000 0.500 0.000 1
C1 C 0.000 0.000 0.432 1
```

5.
Starting from the GGA-PBE geometry in Alexandria, the powder diffractogram of C3S4 was simulated for Cu Kα (weighted mean of Kα1 and Kα2).
Kinematic intensities with the Lorentz-polarization factor, no thermal factor.

Principal peaks in the range 2θ from 10° to 90°, low angle first:
| d (Å) | 2theta | I/Imax | h k l |
| --- | --- | --- | --- |
| 8.063 | 10.97 | 19 | 0 1 1 |
| 7.021 | 12.61 | 13 | 0 0 2 |
| 4.578 | 19.39 | 8 | 2 0 0 |
| 4.235 | 20.98 | 18 | 2 1 -1 |
| 4.151 | 21.40 | 100 | 2 1 0 |
| 3.767 | 23.62 | 34 | 2 1 1 |
| 3.517 | 25.32 | 10 | 1 2 2 |
| 3.356 | 26.56 | 11 | 2 2 0 |
| 2.915 | 30.67 | 12 | 1 3 -2 |
| 1.992 | 45.53 | 15 | 4 2 1 |

Structure:
```
data_C3S4
_cell_length_a 9.426
_cell_length_b 9.849
_cell_length_c 14.456
_cell_angle_alpha 90.00
_cell_angle_beta 103.74
_cell_angle_gamma 90.00
_space_group_name_H-M_alt 'P 1 21/c 1'
_space_group_IT_number 14
loop_
_space_group_symop_operation_xyz
'x,y,z'
'-x,-y,-z'
'-x,y+1/2,-z+1/2'
'x,-y+1/2,z+1/2'
loop_
_atom_site_label
_atom_site_type_symbol
_atom_site_fract_x
_atom_site_fract_y
_atom_site_fract_z
_atom_site_occupancy
C1 C 0.024 0.070 0.096 1
C2 C 0.070 0.140 0.026 1
C3 C 0.136 0.229 0.547 1
C4 C 0.396 0.655 0.646 1
C5 C 0.432 0.641 0.486 1
C6 C 0.446 0.582 0.575 1
S1 S 0.053 0.147 0.206 1
S2 S 0.060 0.089 0.907 1
S3 S 0.149 0.181 0.665 1
S4 S 0.196 0.130 0.472 1
S5 S 0.324 0.687 0.109 1
S6 S 0.353 0.698 0.971 1
S7 S 0.403 0.600 0.756 1
S8 S 0.481 0.579 0.385 1
```

6.
Starting from the GGA-PBE geometry in Alexandria, the powder diffractogram of C23S4 was simulated for Cu Kα (weighted mean of Kα1 and Kα2).
Kinematic intensities with the Lorentz-polarization factor, no thermal factor.

Principal peaks in the range 2θ from 10° to 90°, low angle first:
| d (Å) | 2theta | I/Imax | h k l |
| --- | --- | --- | --- |
| 3.191 | 27.96 | 13 | 2 1 0 |
| 2.913 | 30.69 | 20 | 2 1 1 |
| 2.060 | 43.96 | 23 | 2 2 2 |
| 1.979 | 45.85 | 51 | 3 2 0 |
| 1.907 | 47.69 | 100 | 3 2 1 |
| 1.784 | 51.21 | 22 | 4 0 0 |
| 1.595 | 57.79 | 8 | 4 2 0 |
| 1.224 | 78.10 | 10 | 5 3 0 |
| 1.189 | 80.82 | 13 | 6 0 0 |
| 1.157 | 83.52 | 33 | 5 3 2 |

Structure:
```
data_C23S4
_cell_length_a 7.135
_cell_length_b 7.135
_cell_length_c 7.135
_cell_angle_alpha 90.00
_cell_angle_beta 90.00
_cell_angle_gamma 90.00
_space_group_name_H-M_alt 'P m -3 n'
_space_group_IT_number 223
_space_group_name_Hall '-P 4n 2 3'
loop_
_atom_site_label
_atom_site_type_symbol
_atom_site_fract_x
_atom_site_fract_y
_atom_site_fract_z
_atom_site_occupancy
C1 C 0.000 0.132 0.302 1
C2 C 0.000 0.250 0.500 1
C3 C 0.186 0.186 0.186 1
S1 S 0.000 0.000 0.000 1
S2 S 0.000 0.500 0.250 1
```

7.
Starting from the GGA-PBE geometry in Alexandria, the powder diffractogram of CS2 was simulated for Cu Kα (weighted mean of Kα1 and Kα2).
Kinematic intensities with the Lorentz-polarization factor, no thermal factor.

Principal peaks in the range 2θ from 10° to 90°, low angle first:
| d (Å) | 2theta | I/Imax | h k l |
| --- | --- | --- | --- |
| 4.560 | 19.47 | 9 | 0 0 2 |
| 4.216 | 21.07 | 54 | 1 1 1 |
| 3.633 | 24.50 | 55 | 2 0 0 |
| 3.291 | 27.10 | 100 | 1 1 2 |
| 3.144 | 28.39 | 7 | 0 2 0 |
| 2.972 | 30.07 | 9 | 0 2 1 |
| 2.300 | 39.16 | 8 | 2 2 1 |
| 2.025 | 44.76 | 21 | 3 1 2 |
| 1.645 | 55.88 | 8 | 2 2 4 |
| 1.352 | 69.53 | 12 | 1 3 5 |

Structure:
```
data_CS2
_cell_length_a 7.266
_cell_length_b 6.287
_cell_length_c 9.119
_cell_angle_alpha 90.00
_cell_angle_beta 90.00
_cell_angle_gamma 90.00
_space_group_name_H-M_alt 'C m c e'
_space_group_IT_number 64
_space_group_name_Hall '-C 2ac 2'
loop_
_atom_site_label
_atom_site_type_symbol
_atom_site_fract_x
_atom_site_fract_y
_atom_site_fract_z
_atom_site_occupancy
C1 C 0.000 0.000 0.000 1
S1 S 0.000 0.187 0.112 1
```

8.
Starting from the GGA-PBE geometry in Alexandria, the powder diffractogram of SbC2S was simulated for Cu Kα (weighted mean of Kα1 and Kα2).
Kinematic intensities with the Lorentz-polarization factor, no thermal factor.

Principal peaks in the range 2θ from 10° to 90°, low angle first:
| d (Å) | 2theta | I/Imax | h k l |
| --- | --- | --- | --- |
| 4.227 | 21.02 | 39 | 1 0 1 |
| 2.923 | 30.59 | 19 | 1 0 3 |
| 2.861 | 31.27 | 19 | 0 0 4 |
| 2.804 | 31.92 | 100 | 1 1 2 |
| 2.274 | 39.63 | 20 | 2 0 0 |
| 2.003 | 45.28 | 13 | 2 1 1 |
| 1.780 | 51.32 | 30 | 2 0 4 |
| 1.640 | 56.06 | 19 | 1 1 6 |
| 1.395 | 67.10 | 22 | 3 1 2 |
| 1.148 | 84.34 | 12 | 3 1 6 |

Structure:
```
data_SbC2S
_cell_length_a 4.549
_cell_length_b 4.549
_cell_length_c 11.442
_cell_angle_alpha 90.00
_cell_angle_beta 90.00
_cell_angle_gamma 90.00
_space_group_name_H-M_alt 'I -4 2 d'
_space_group_IT_number 122
_space_group_name_Hall 'I -4 2bw'
loop_
_atom_site_label
_atom_site_type_symbol
_atom_site_fract_x
_atom_site_fract_y
_atom_site_fract_z
_atom_site_occupancy
Sb1 Sb 0.000 0.000 0.000 1
C1 C 0.211 0.250 0.625 1
S1 S 0.000 0.000 0.500 1
```

9.
Starting from the GGA-PBE geometry in Alexandria, the powder diffractogram of Sc9C4S2 was simulated for Cu Kα (weighted mean of Kα1 and Kα2).
Kinematic intensities with the Lorentz-polarization factor, no thermal factor.

Principal peaks in the range 2θ from 10° to 90°, low angle first:
| d (Å) | 2theta | I/Imax | h k l |
| --- | --- | --- | --- |
| 4.362 | 20.36 | 9 | 1 0 2 |
| 2.793 | 32.05 | 17 | 0 0 6 |
| 2.608 | 34.38 | 100 | 1 1 3 |
| 2.554 | 35.13 | 9 | 2 0 0 |
| 2.028 | 44.69 | 34 | 1 1 6 |
| 1.825 | 49.98 | 7 | 1 2 3 |
| 1.703 | 53.84 | 22 | 3 0 0 |
| 1.574 | 58.63 | 18 | 1 1 9 |
| 1.454 | 64.04 | 8 | 3 0 6 |
| 1.426 | 65.46 | 10 | 2 2 3 |

Structure:
```
data_Sc9C4S2
_cell_length_a 5.8988
_cell_length_b 5.8988
_cell_length_c 16.7574
_cell_angle_alpha 90.00
_cell_angle_beta 90.00
_cell_angle_gamma 120.00
_space_group_name_H-M_alt 'P -3 c 1'
_space_group_IT_number 165
_space_group_name_Hall '-P 3 2"c'
loop_
_atom_site_label
_atom_site_type_symbol
_atom_site_fract_x
_atom_site_fract_y
_atom_site_fract_z
_atom_site_occupancy
Sc1 Sc 0.0000 0.3518 0.2500 1
Sc2 Sc 0.0162 0.3804 0.5809 1
C1 C 0.3333 0.6667 0.1738 1
C2 C 0.3333 0.6667 0.4928 1
S1 S 0.0000 0.0000 0.1560 1
```

10.
Starting from the GGA-PBE geometry in Alexandria, the powder diffractogram of Sc6C3S was simulated for Cu Kα (weighted mean of Kα1 and Kα2).
Kinematic intensities with the Lorentz-polarization factor, no thermal factor.

Principal peaks in the range 2θ from 10° to 90°, low angle first:
| d (Å) | 2theta | I/Imax | h k l |
| --- | --- | --- | --- |
| 2.814 | 31.80 | 51 | 2 0 2 |
| 2.792 | 32.05 | 54 | 2 0 -4 |
| 2.744 | 32.64 | 38 | 2 1 -1 |
| 2.654 | 33.78 | 55 | 2 1 -2 |
| 2.529 | 35.50 | 27 | 1 1 -3 |
| 2.424 | 37.10 | 100 | 0 1 3 |
| 2.359 | 38.15 | 69 | 4 0 -2 |
| 1.695 | 54.10 | 23 | 4 1 1 |
| 1.686 | 54.42 | 47 | 0 2 0 |
| 1.372 | 68.38 | 22 | 4 2 -2 |

Structure:
```
data_Sc6C3S
_cell_length_a 9.436
_cell_length_b 3.372
_cell_length_c 11.436
_cell_angle_alpha 90.00
_cell_angle_beta 113.91
_cell_angle_gamma 90.00
_space_group_name_H-M_alt 'P 1 21/m 1'
_space_group_IT_number 11
loop_
_space_group_symop_operation_xyz
'x,y,z'
'-x,-y,-z'
'-x,y+1/2,-z'
'x,-y+1/2,z'
loop_
_atom_site_label
_atom_site_type_symbol
_atom_site_fract_x
_atom_site_fract_y
_atom_site_fract_z
_atom_site_occupancy
Sc1 Sc 0.063 0.250 0.389 1
Sc2 Sc 0.086 0.750 0.908 1
Sc3 Sc 0.238 0.750 0.247 1
Sc4 Sc 0.253 0.250 0.776 1
Sc5 Sc 0.417 0.250 0.071 1
Sc6 Sc 0.433 0.250 0.576 1
C1 C 0.003 0.250 0.756 1
C2 C 0.336 0.750 0.924 1
C3 C 0.383 0.250 0.368 1
S1 S 0.205 0.750 0.583 1
```

11.
Starting from the GGA-PBE geometry in Alexandria, the powder diffractogram of ScC2S2 was simulated for Cu Kα (weighted mean of Kα1 and Kα2).
Kinematic intensities with the Lorentz-polarization factor, no thermal factor.

Principal peaks in the range 2θ from 10° to 90°, low angle first:
| d (Å) | 2theta | I/Imax | h k l |
| --- | --- | --- | --- |
| 4.733 | 18.75 | 70 | 1 1 0 |
| 2.993 | 29.85 | 72 | 2 1 0 |
| 2.483 | 36.18 | 92 | 1 1 1 |
| 2.366 | 38.02 | 86 | 2 2 0 |
| 2.199 | 41.05 | 82 | 2 0 1 |
| 2.117 | 42.72 | 100 | 3 1 0 |
| 2.089 | 43.31 | 100 | 2 1 1 |
| 1.418 | 65.84 | 40 | 4 1 1 |
| 1.388 | 67.50 | 40 | 3 3 1 |
| 1.201 | 79.88 | 27 | 3 1 2 |

Structure:
```
data_ScC2S2
_cell_length_a 6.693
_cell_length_b 6.693
_cell_length_c 2.916
_cell_angle_alpha 90.00
_cell_angle_beta 90.00
_cell_angle_gamma 90.00
_space_group_name_H-M_alt 'P 4/m b m'
_space_group_IT_number 127
_space_group_name_Hall '-P 4 2ab'
loop_
_atom_site_label
_atom_site_type_symbol
_atom_site_fract_x
_atom_site_fract_y
_atom_site_fract_z
_atom_site_occupancy
Sc1 Sc 0.000 0.000 0.000 1
C1 C 0.213 0.287 0.000 1
S1 S 0.175 0.675 0.500 1
```

Which formula does entry 3 have? Yb3RuC4